Zn5Fe: calculated X-ray diffraction stick pattern (copper Kα), based on DFT lattice parameters and positions (PBE).

Crystal structure
a = 5.1968 Å, b = 5.1968 Å, c = 6.4411 Å
α = 104.06°, β = 104.06°, γ = 29.73°
Sites, in units of the cell vectors:
Zn 0.0000 0.0000 0.0000
Zn 0.0564 0.0564 0.6223
Zn 0.3913 0.3913 0.2935
Zn 0.6717 0.6717 0.3429
Zn 0.7317 0.7317 0.9385
Fe 0.3338 0.3338 0.6644

Top 6 peaks for 5° ≤ 2θ ≤ 70°, in order of rising 2θ:
| 2θ (°) | intensity |
| --- | --- |
| 38.76 | 53 |
| 40.94 | 83 |
| 43.21 | 56 |
| 43.55 | 54 |
| 43.97 | 100 |
| 44.14 | 98 |